No. 1
Pr2PuWN5: theoretical X-ray diffraction stick pattern (Cu Kα (λ = 1.5418 Å)), based on a GGA-PBE-relaxed structure.
Kinematic intensities with the Lorentz-polarization factor, no thermal factor.

Atomic structure:
```
data_Pr2PuWN5
_space_group_name_H-M_alt 'P 1'
_space_group_IT_number 1
_cell_length_a 7.198
_cell_length_b 7.198
_cell_length_c 10.763
_cell_angle_alpha 90.00
_cell_angle_beta 90.00
_cell_angle_gamma 151.67
loop_
_space_group_symop_operation_xyz
'x,y,z'
loop_
_atom_site_label
_atom_site_type_symbol
_atom_site_fract_x
_atom_site_fract_y
_atom_site_fract_z
_atom_site_occupancy
Pr1 Pr 0.107 0.893 0.500 1
Pr2 Pr 0.150 0.850 0.107 1
Pr3 Pr 0.850 0.150 0.607 1
Pr4 Pr 0.893 0.107 0.000 1
Pu1 Pu 0.210 0.790 0.820 1
Pu2 Pu 0.790 0.210 0.320 1
W1 W 0.483 0.517 0.264 1
W2 W 0.517 0.483 0.764 1
N1 N 0.042 0.958 0.843 1
N2 N 0.280 0.720 0.461 1
N3 N 0.325 0.675 0.193 1
N4 N 0.379 0.621 0.812 1
N5 N 0.488 0.512 0.594 1
N6 N 0.512 0.488 0.094 1
N7 N 0.621 0.379 0.312 1
N8 N 0.675 0.325 0.693 1
N9 N 0.720 0.280 0.961 1
N10 N 0.958 0.042 0.343 1
```

Most intense lines, 5° ≤ 2θ ≤ 70°, sorted by position:
3.191 Å, 2θ 27.96, I 67
2.928 Å, 2θ 30.53, I 85
2.884 Å, 2θ 31.01, I 64
2.809 Å, 2θ 31.86, I 100
2.718 Å, 2θ 32.96, I 50
2.474 Å, 2θ 36.31, I 95

No. 2
RbPrReN3: theoretical X-ray diffraction stick pattern (Cu Kα (λ = 1.5418 Å)), based on a GGA-PBE-relaxed structure.
Kinematic intensities with the Lorentz-polarization factor, no thermal factor.

Atomic structure:
```
data_RbPrReN3
_space_group_name_H-M_alt 'P 1'
_space_group_IT_number 1
_cell_length_a 7.232
_cell_length_b 7.232
_cell_length_c 8.251
_cell_angle_alpha 104.41
_cell_angle_beta 104.41
_cell_angle_gamma 31.76
loop_
_space_group_symop_operation_xyz
'x,y,z'
loop_
_atom_site_label
_atom_site_type_symbol
_atom_site_fract_x
_atom_site_fract_y
_atom_site_fract_z
_atom_site_occupancy
Rb1 Rb 0.138 0.138 0.068 1
Rb2 Rb 0.862 0.862 0.932 1
Pr1 Pr 0.162 0.162 0.585 1
Pr2 Pr 0.838 0.838 0.415 1
Re1 Re 0.494 0.494 0.660 1
Re2 Re 0.506 0.506 0.340 1
N1 N 0.011 0.011 0.338 1
N2 N 0.346 0.346 0.626 1
N3 N 0.372 0.372 0.217 1
N4 N 0.628 0.628 0.783 1
N5 N 0.654 0.654 0.374 1
N6 N 0.989 0.989 0.662 1
```

Most intense lines, 5° ≤ 2θ ≤ 70°, sorted by position:
7.970 Å, 2θ 11.10, I 97
6.719 Å, 2θ 13.18, I 34
3.094 Å, 2θ 28.85, I 31
2.976 Å, 2θ 30.03, I 36
2.966 Å, 2θ 30.13, I 100
2.855 Å, 2θ 31.33, I 76